Entry 1:
Calculated PXRD pattern of TbPm6Pb for CuKα, from a cell relaxed with PBE.
Peak positions follow from Bragg's law for the DFT cell and can differ from measured ones.

Largest 10 diffraction maxima, most intense first, 15 to 90 degrees two-theta:
- 30.6 deg, I 100, hkl 1 1 2
- 35.9 deg, I 33, hkl 2 0 0
- 61.3 deg, I 28, hkl 3 1 2
- 50.8 deg, I 24, hkl 2 0 4
- 34.6 deg, I 18, hkl 0 0 4
- 59.6 deg, I 15, hkl 1 1 6
- 63.8 deg, I 12, hkl 2 2 4
- 82.8 deg, I 12, hkl 3 1 6
- 51.7 deg, I 12, hkl 2 2 0
- 84.3 deg, I 11, hkl 3 3 2

Cell and atoms:
Lattice parameters (Å, degrees): 4.9969 4.9969 10.3562 90.00 90.00 90.00
Fractional coordinates of all 8 atoms:
Tb  0.0000  0.0000  0.0000
Pm  0.0000  0.5000  0.2558
Pm  0.0000  0.5000  0.7442
Pm  0.5000  0.0000  0.2558
Pm  0.5000  0.0000  0.7442
Pm  0.5000  0.5000  0.0000
Pm  0.5000  0.5000  0.5000
Pb  0.0000  0.0000  0.5000

***

Entry 2:
Calculated PXRD pattern of Tl2VPbBr6 for CuKα, from a cell relaxed with PBE.
Peak positions follow from Bragg's law for the DFT cell and can differ from measured ones.

Largest 10 diffraction maxima, most intense first, 15 to 90 degrees two-theta:
- 31.8 deg, I 100, hkl 2 0 2
- 22.4 deg, I 79, hkl 1 2 1
- 35.3 deg, I 54, hkl 2 3 1
- 28.2 deg, I 49, hkl 2 2 0
- 45.8 deg, I 43, hkl 2 4 2
- 32.0 deg, I 41, hkl 0 4 0
- 26.2 deg, I 35, hkl 0 3 1
- 26.8 deg, I 34, hkl 0 2 2
- 36.3 deg, I 31, hkl 0 2 3
- 23.2 deg, I 30, hkl 2 0 0

Cell and atoms:
Lattice parameters (Å, degrees): 7.6780 11.1790 8.2781 90.00 90.00 90.00
Fractional coordinates of all 20 atoms:
Tl  0.2500  0.0517  0.1851
Tl  0.2500  0.4483  0.1851
Tl  0.7500  0.5517  0.8149
Tl  0.7500  0.9483  0.8149
V  0.2500  0.7500  0.7763
V  0.7500  0.2500  0.2237
Pb  0.2500  0.2500  0.7094
Pb  0.7500  0.7500  0.2906
Br  0.9996  0.2500  0.4391
Br  0.0004  0.7500  0.5609
Br  0.0077  0.7500  0.0038
Br  0.2500  0.5144  0.7874
Br  0.2500  0.9856  0.7874
Br  0.4923  0.7500  0.0038
Br  0.5004  0.2500  0.4391
Br  0.4996  0.7500  0.5609
Br  0.5077  0.2500  0.9962
Br  0.7500  0.0144  0.2126
Br  0.7500  0.4856  0.2126
Br  0.9923  0.2500  0.9962